The following is a theoretical powder XRD pattern of CsNb2PSe10. It was derived from DFT lattice parameters and positions (PBE), using Cu Kα (λ = 1.5418 Å).

Cell and atoms:
Cell: 15.1590 8.1110 13.7947 Å, 90.00 98.22 90.00°
Space group Pc (No. 7)
Inequivalent atoms, fractional coordinates:
Cs (0.0000, 0.0063, 0.0000) (multiplicity 2)
Cs (0.4979, 0.0279, 0.7559) (multiplicity 2)
Nb (0.2721, 0.4333, 0.1081) (multiplicity 2)
Nb (0.2759, 0.4444, 0.4025) (multiplicity 2)
Nb (0.7749, 0.4408, 0.8677) (multiplicity 2)
Nb (0.7793, 0.4373, 0.1620) (multiplicity 2)
P (0.2025, 0.0938, 0.2526) (multiplicity 2)
P (0.7044, 0.0935, 0.0068) (multiplicity 2)
Se (0.1049, 0.1023, 0.7551) (multiplicity 2)
Se (0.1445, 0.3744, 0.9517) (multiplicity 2)
Se (0.1512, 0.3569, 0.2399) (multiplicity 2)
Se (0.1547, 0.3579, 0.5187) (multiplicity 2)
Se (0.2681, 0.0901, 0.1173) (multiplicity 2)
Se (0.2953, 0.3379, 0.7557) (multiplicity 2)
Se (0.2997, 0.1083, 0.3911) (multiplicity 2)
Se (0.3942, 0.3423, 0.9997) (multiplicity 2)
Se (0.3976, 0.4393, 0.2757) (multiplicity 2)
Se (0.4035, 0.3822, 0.5488) (multiplicity 2)
Se (0.6066, 0.1021, 0.5081) (multiplicity 2)
Se (0.6480, 0.3846, 0.7129) (multiplicity 2)
Se (0.6544, 0.3581, 0.9986) (multiplicity 2)
Se (0.6580, 0.3468, 0.2782) (multiplicity 2)
Se (0.7685, 0.0949, 0.8702) (multiplicity 2)
Se (0.7987, 0.3370, 0.5190) (multiplicity 2)
Se (0.8029, 0.1033, 0.1444) (multiplicity 2)
Se (0.9012, 0.3594, 0.7621) (multiplicity 2)
Se (0.9006, 0.4400, 0.0348) (multiplicity 2)
Se (0.9030, 0.3650, 0.3108) (multiplicity 2)

Most intense lines, 2θ from 10° to 80°, in order of falling intensity:
h k l	d_spacing	Rel. int.
2 0 0	7.502	100
2 1 0	5.507	69
0 1 0	8.111	59
0 0 4	3.408	59
2 0 4	2.952	38
4 0 -4	2.725	34

The following is a theoretical powder XRD pattern of CsNb6S8. It was derived from DFT lattice parameters and positions (PBE), using Cu Kα (λ = 1.5418 Å).

Cell and atoms:
Cell: 9.8473 9.8473 3.4112 Å, 90.00 90.00 120.00°
Space group P-3 (No. 147)
Inequivalent atoms, fractional coordinates:
Cs (0.0000, 0.0000, 0.0000) (multiplicity 1)
Nb (0.1105, 0.6246, 0.2487) (multiplicity 6)
S (0.0604, 0.3523, 0.2536) (multiplicity 6)
S (0.3333, 0.6667, 0.7490) (multiplicity 2)

Most intense lines, 2θ from 10° to 80°, in order of falling intensity:
h k l	d_spacing	Rel. int.
3 -1 1	2.343	100
2 0 0	4.264	57
1 3 0	2.365	48
0 1 1	3.167	41
2 1 0	3.223	37
4 1 0	1.861	35

What did the first record say?
The following is a theoretical powder XRD pattern of CsNb2PSe10. It was derived from DFT lattice parameters and positions (PBE), using Cu Kα (λ = 1.5418 Å).

Cell and atoms:
Cell: 15.1590 8.1110 13.7947 Å, 90.00 98.22 90.00°
Space group Pc (No. 7)
Inequivalent atoms, fractional coordinates:
Cs (0.0000, 0.0063, 0.0000) (multiplicity 2)
Cs (0.4979, 0.0279, 0.7559) (multiplicity 2)
Nb (0.2721, 0.4333, 0.1081) (multiplicity 2)
Nb (0.2759, 0.4444, 0.4025) (multiplicity 2)
Nb (0.7749, 0.4408, 0.8677) (multiplicity 2)
Nb (0.7793, 0.4373, 0.1620) (multiplicity 2)
P (0.2025, 0.0938, 0.2526) (multiplicity 2)
P (0.7044, 0.0935, 0.0068) (multiplicity 2)
Se (0.1049, 0.1023, 0.7551) (multiplicity 2)
Se (0.1445, 0.3744, 0.9517) (multiplicity 2)
Se (0.1512, 0.3569, 0.2399) (multiplicity 2)
Se (0.1547, 0.3579, 0.5187) (multiplicity 2)
Se (0.2681, 0.0901, 0.1173) (multiplicity 2)
Se (0.2953, 0.3379, 0.7557) (multiplicity 2)
Se (0.2997, 0.1083, 0.3911) (multiplicity 2)
Se (0.3942, 0.3423, 0.9997) (multiplicity 2)
Se (0.3976, 0.4393, 0.2757) (multiplicity 2)
Se (0.4035, 0.3822, 0.5488) (multiplicity 2)
Se (0.6066, 0.1021, 0.5081) (multiplicity 2)
Se (0.6480, 0.3846, 0.7129) (multiplicity 2)
Se (0.6544, 0.3581, 0.9986) (multiplicity 2)
Se (0.6580, 0.3468, 0.2782) (multiplicity 2)
Se (0.7685, 0.0949, 0.8702) (multiplicity 2)
Se (0.7987, 0.3370, 0.5190) (multiplicity 2)
Se (0.8029, 0.1033, 0.1444) (multiplicity 2)
Se (0.9012, 0.3594, 0.7621) (multiplicity 2)
Se (0.9006, 0.4400, 0.0348) (multiplicity 2)
Se (0.9030, 0.3650, 0.3108) (multiplicity 2)

Most intense lines, 2θ from 10° to 80°, in order of falling intensity:
h k l	d_spacing	Rel. int.
2 0 0	7.502	100
2 1 0	5.507	69
0 1 0	8.111	59
0 0 4	3.408	59
2 0 4	2.952	38
4 0 -4	2.725	34

Repeat the second record exactly.
The following is a theoretical powder XRD pattern of CsNb6S8. It was derived from DFT lattice parameters and positions (PBE), using Cu Kα (λ = 1.5418 Å).

Cell and atoms:
Cell: 9.8473 9.8473 3.4112 Å, 90.00 90.00 120.00°
Space group P-3 (No. 147)
Inequivalent atoms, fractional coordinates:
Cs (0.0000, 0.0000, 0.0000) (multiplicity 1)
Nb (0.1105, 0.6246, 0.2487) (multiplicity 6)
S (0.0604, 0.3523, 0.2536) (multiplicity 6)
S (0.3333, 0.6667, 0.7490) (multiplicity 2)

Most intense lines, 2θ from 10° to 80°, in order of falling intensity:
h k l	d_spacing	Rel. int.
3 -1 1	2.343	100
2 0 0	4.264	57
1 3 0	2.365	48
0 1 1	3.167	41
2 1 0	3.223	37
4 1 0	1.861	35